# SmHAu
Theoretical powder diffractogram, Cu Ka. Input: a cell relaxed with PBE.
No peak broadening, texture or thermal motion is included.

Crystal structure
abc: 3.7971 3.8175 7.2378
angles: 90.00 90.00 90.00
Space group Pmmn (No. 59, origin choice 2)
Inequivalent atoms, fractional coordinates:
Sm (0.2500, 0.2500, 0.1829) x2
H (0.2500, 0.7500, 0.0006) x2
Au (0.2500, 0.2500, 0.6097) x2

Most intense lines, 10° ≤ 2θ ≤ 90°, in order of rising 2θ:
Position (°2θ), d (Å), I_rel, index
12.23, 7.238, 22, 0 0 1
33.28, 2.692, 69, 1 1 0
34.18, 2.623, 100, 1 0 2
44.46, 2.038, 25, 1 0 3
47.64, 1.909, 13, 0 2 0
47.91, 1.899, 13, 2 0 0
59.96, 1.543, 20, 1 2 2
60.14, 1.539, 20, 2 1 2
74.41, 1.275, 12, 1 1 5
79.87, 1.201, 10, 3 1 0